This entry pairs a crystal structure of Li4Fe3Sn3Sb2O16 with its computed powder diffractogram. Radiation: λ = 1.5418 Å (Cu Kα). Structure: a structure optimized by DFT (GGA+U).
Lines closer than 0.1° are merged.

Crystal structure
```
Li4Fe3Sn3Sb2O16
1.0
6.2109 0.0000 0.0000
0.1485 9.9421 0.0000
0.0687 0.0956 10.7597
Li Fe Sn Sb O
8 6 6 4 32
direct
0.0000 0.0000 0.0000
0.0034 0.0850 0.6678
0.0107 0.5686 0.6702
0.4946 0.4888 0.8319
0.4995 0.0003 0.4998
0.5027 0.0850 0.1684
0.5107 0.5686 0.1704
0.9948 0.4887 0.3319
0.2430 0.3007 0.5761
0.2484 0.8021 0.7484
0.4853 0.3005 0.3341
0.7427 0.2992 0.0754
0.7482 0.8022 0.2484
0.9836 0.2995 0.8340
0.2318 0.3023 0.0780
0.2363 0.8017 0.2482
0.4890 0.8022 0.9946
0.7321 0.3020 0.5773
0.7363 0.8017 0.7481
0.9888 0.8023 0.4944
0.4753 0.5682 0.4922
0.4803 0.0802 0.8277
0.9756 0.5679 0.9922
0.9805 0.0800 0.3272
0.2143 0.9343 0.4045
0.2151 0.4462 0.9260
0.2301 0.1759 0.2457
0.2387 0.6833 0.5772
0.2395 0.6865 0.0807
0.2399 0.1728 0.7483
0.2637 0.4449 0.4219
0.2759 0.9373 0.9087
0.4829 0.3872 0.1615
0.4837 0.1766 0.9925
0.4862 0.6823 0.3309
0.4894 0.8970 0.1629
0.4948 0.1959 0.4986
0.4948 0.4460 0.6448
0.4962 0.6919 0.8333
0.4987 0.9368 0.6849
0.7144 0.9345 0.9044
0.7146 0.4460 0.4256
0.7293 0.1765 0.7454
0.7388 0.6829 0.0769
0.7394 0.6865 0.5807
0.7414 0.1727 0.2466
0.7646 0.4437 0.9218
0.7756 0.9375 0.4084
0.9827 0.1762 0.4924
0.9828 0.3870 0.6614
0.9863 0.6822 0.8309
0.9889 0.8970 0.6629
0.9945 0.4463 0.1450
0.9958 0.6921 0.3332
0.9970 0.1951 0.9991
0.9989 0.9366 0.1848
```

Main lines, by angle (5° ≤ 2θ ≤ 70°):
(hkl)  Position (°2θ)  I_rel
0 2 0  17.84  63
1 1 1  18.58  77
1 1 -1  18.71  100
0 1 -2  18.85  80
0 2 2  24.29  33
1 -2 1  24.53  53
0 3 -2  31.85  39
1 2 3  33.77  47
1 2 -3  34.11  45
2 1 2  34.26  68
2 -1 2  34.60  76
2 3 -2  43.17  44